# 1
The following is a calculated XRD peak list of K2Be2CoO6F8. It was derived from a cell relaxed with PBE+U, using copper Kα.
Intensities are scaled so that the largest is 100.

Structure:
```
data_K2Be2CoO6F8
_symmetry_space_group_name_H-M 'P 1'
_symmetry_Int_Tables_number 1
_cell_length_a 5.979
_cell_length_b 11.401
_cell_length_c 8.136
_cell_angle_alpha 90.00
_cell_angle_beta 105.44
_cell_angle_gamma 90.00
loop_
_symmetry_equiv_pos_as_xyz
'x,y,z'
loop_
_atom_site_label
_atom_site_type_symbol
_atom_site_fract_x
_atom_site_fract_y
_atom_site_fract_z
_atom_site_occupancy
K1 K 0.143 0.150 0.385 1
K2 K 0.143 0.350 0.885 1
K3 K 0.857 0.650 0.115 1
K4 K 0.857 0.850 0.615 1
Be1 Be 0.252 0.650 0.900 1
Be2 Be 0.252 0.850 0.400 1
Be3 Be 0.748 0.150 0.600 1
Be4 Be 0.748 0.350 0.100 1
Co1 Co 0.500 0.000 0.000 1
Co2 Co 0.500 0.500 0.500 1
O1 O 0.223 0.564 0.504 1
O2 O 0.223 0.936 0.004 1
O3 O 0.340 0.103 0.852 1
O4 O 0.340 0.397 0.352 1
O5 O 0.455 0.106 0.152 1
O6 O 0.455 0.394 0.652 1
O7 O 0.545 0.606 0.348 1
O8 O 0.545 0.894 0.848 1
O9 O 0.660 0.603 0.648 1
O10 O 0.660 0.897 0.148 1
O11 O 0.777 0.064 0.996 1
O12 O 0.777 0.436 0.496 1
F1 F 0.084 0.747 0.408 1
F2 F 0.084 0.753 0.908 1
F3 F 0.128 0.565 0.745 1
F4 F 0.128 0.935 0.245 1
F5 F 0.283 0.571 0.059 1
F6 F 0.283 0.929 0.559 1
F7 F 0.483 0.697 0.872 1
F8 F 0.483 0.803 0.372 1
F9 F 0.517 0.197 0.628 1
F10 F 0.517 0.303 0.128 1
F11 F 0.717 0.071 0.441 1
F12 F 0.717 0.429 0.941 1
F13 F 0.872 0.065 0.755 1
F14 F 0.872 0.435 0.255 1
F15 F 0.916 0.247 0.092 1
F16 F 0.916 0.253 0.592 1
```

Peak list (10 most intense, 15 to 90 degrees two-theta, in order of rising 2θ)
2θ 18.2, 4.863 Å, intensity 34; 2θ 21.9, 4.053 Å, intensity 45; 2θ 22.7, 3.920 Å, intensity 36; 2θ 22.8, 3.897 Å, intensity 100; 2θ 23.8, 3.737 Å, intensity 64; 2θ 26.1, 3.420 Å, intensity 99; 2θ 31.1, 2.877 Å, intensity 77; 2θ 32.8, 2.729 Å, intensity 34; 2θ 34.7, 2.587 Å, intensity 56; 2θ 41.4, 2.180 Å, intensity 33

# 2
The following is a calculated XRD peak list of Rb2Be2CoO6F8. It was derived from a cell relaxed with PBE+U, using copper Kα.
Intensities are scaled so that the largest is 100.

Structure:
```
data_Rb2Be2CoO6F8
_symmetry_space_group_name_H-M 'P 1'
_symmetry_Int_Tables_number 1
_cell_length_a 6.199
_cell_length_b 11.647
_cell_length_c 8.154
_cell_angle_alpha 90.00
_cell_angle_beta 104.43
_cell_angle_gamma 90.00
loop_
_symmetry_equiv_pos_as_xyz
'x,y,z'
loop_
_atom_site_label
_atom_site_type_symbol
_atom_site_fract_x
_atom_site_fract_y
_atom_site_fract_z
_atom_site_occupancy
Rb1 Rb 0.150 0.148 0.383 1
Rb2 Rb 0.150 0.352 0.883 1
Rb3 Rb 0.850 0.648 0.117 1
Rb4 Rb 0.850 0.852 0.617 1
Be1 Be 0.258 0.653 0.897 1
Be2 Be 0.258 0.847 0.397 1
Be3 Be 0.742 0.153 0.603 1
Be4 Be 0.742 0.347 0.103 1
Co1 Co 0.500 0.000 0.000 1
Co2 Co 0.500 0.500 0.500 1
O1 O 0.232 0.563 0.509 1
O2 O 0.232 0.937 0.009 1
O3 O 0.347 0.100 0.853 1
O4 O 0.347 0.400 0.353 1
O5 O 0.458 0.106 0.148 1
O6 O 0.458 0.394 0.648 1
O7 O 0.542 0.606 0.352 1
O8 O 0.542 0.894 0.852 1
O9 O 0.653 0.600 0.647 1
O10 O 0.653 0.900 0.147 1
O11 O 0.768 0.063 0.991 1
O12 O 0.768 0.437 0.491 1
F1 F 0.103 0.746 0.415 1
F2 F 0.103 0.754 0.915 1
F3 F 0.129 0.574 0.741 1
F4 F 0.129 0.926 0.241 1
F5 F 0.294 0.573 0.053 1
F6 F 0.294 0.927 0.553 1
F7 F 0.476 0.699 0.860 1
F8 F 0.476 0.801 0.360 1
F9 F 0.524 0.199 0.640 1
F10 F 0.524 0.301 0.140 1
F11 F 0.706 0.073 0.447 1
F12 F 0.706 0.427 0.947 1
F13 F 0.871 0.074 0.759 1
F14 F 0.871 0.426 0.259 1
F15 F 0.897 0.246 0.085 1
F16 F 0.897 0.254 0.585 1
```

Peak list (10 most intense, 15 to 90 degrees two-theta, in order of rising 2θ)
2θ 21.3, 4.180 Å, intensity 31; 2θ 22.1, 4.027 Å, intensity 100; 2θ 22.3, 3.992 Å, intensity 38; 2θ 23.7, 3.757 Å, intensity 62; 2θ 25.6, 3.484 Å, intensity 92; 2θ 30.1, 2.971 Å, intensity 73; 2θ 33.8, 2.650 Å, intensity 36; 2θ 34.9, 2.571 Å, intensity 34; 2θ 41.1, 2.199 Å, intensity 33; 2θ 41.6, 2.172 Å, intensity 31

# 3
The following is a calculated XRD peak list of Be2Tl2CoO6F8. It was derived from a cell relaxed with PBE+U, using copper Kα.
Intensities are scaled so that the largest is 100.

Structure:
```
data_Be2Tl2CoO6F8
_symmetry_space_group_name_H-M 'P 1'
_symmetry_Int_Tables_number 1
_cell_length_a 5.775
_cell_length_b 9.777
_cell_length_c 10.644
_cell_angle_alpha 90.00
_cell_angle_beta 106.61
_cell_angle_gamma 90.00
loop_
_symmetry_equiv_pos_as_xyz
'x,y,z'
loop_
_atom_site_label
_atom_site_type_symbol
_atom_site_fract_x
_atom_site_fract_y
_atom_site_fract_z
_atom_site_occupancy
Be1 Be 0.226 0.141 0.413 1
Be2 Be 0.226 0.359 0.913 1
Be3 Be 0.774 0.641 0.087 1
Be4 Be 0.774 0.859 0.587 1
Tl1 Tl 0.157 0.715 0.888 1
Tl2 Tl 0.157 0.785 0.388 1
Tl3 Tl 0.843 0.215 0.612 1
Tl4 Tl 0.843 0.285 0.112 1
Co1 Co 0.500 0.000 0.000 1
Co2 Co 0.500 0.500 0.500 1
O1 O 0.236 0.029 0.070 1
O2 O 0.236 0.471 0.570 1
O3 O 0.334 0.606 0.367 1
O4 O 0.334 0.894 0.867 1
O5 O 0.355 0.581 0.622 1
O6 O 0.355 0.919 0.122 1
O7 O 0.645 0.081 0.878 1
O8 O 0.645 0.419 0.378 1
O9 O 0.666 0.106 0.133 1
O10 O 0.666 0.394 0.633 1
O11 O 0.764 0.529 0.430 1
O12 O 0.764 0.971 0.930 1
F1 F 0.089 0.240 0.824 1
F2 F 0.089 0.260 0.324 1
F3 F 0.150 0.147 0.545 1
F4 F 0.150 0.353 0.045 1
F5 F 0.152 0.001 0.339 1
F6 F 0.152 0.499 0.839 1
F7 F 0.496 0.657 0.055 1
F8 F 0.496 0.843 0.555 1
F9 F 0.504 0.157 0.445 1
F10 F 0.504 0.343 0.945 1
F11 F 0.848 0.501 0.161 1
F12 F 0.848 0.999 0.661 1
F13 F 0.850 0.647 0.955 1
F14 F 0.850 0.853 0.455 1
F15 F 0.911 0.740 0.676 1
F16 F 0.911 0.760 0.176 1
```

Peak list (10 most intense, 15 to 90 degrees two-theta, in order of rising 2θ)
2θ 18.1, 4.888 Å, intensity 35; 2θ 18.4, 4.816 Å, intensity 82; 2θ 19.6, 4.522 Å, intensity 100; 2θ 20.0, 4.435 Å, intensity 70; 2θ 22.0, 4.039 Å, intensity 39; 2θ 22.3, 3.989 Å, intensity 29; 2θ 24.3, 3.666 Å, intensity 47; 2θ 28.8, 3.104 Å, intensity 36; 2θ 32.7, 2.742 Å, intensity 55; 2θ 37.1, 2.423 Å, intensity 26

# 4
The following is a calculated XRD peak list of Be2Tl2CoO6F8. It was derived from a cell relaxed with PBE+U, using copper Kα.
Intensities are scaled so that the largest is 100.

Structure:
```
data_Be2Tl2CoO6F8
_symmetry_space_group_name_H-M 'P 1'
_symmetry_Int_Tables_number 1
_cell_length_a 5.825
_cell_length_b 10.154
_cell_length_c 9.296
_cell_angle_alpha 90.00
_cell_angle_beta 101.77
_cell_angle_gamma 90.00
loop_
_symmetry_equiv_pos_as_xyz
'x,y,z'
loop_
_atom_site_label
_atom_site_type_symbol
_atom_site_fract_x
_atom_site_fract_y
_atom_site_fract_z
_atom_site_occupancy
Be1 Be 0.234 0.133 0.431 1
Be2 Be 0.234 0.367 0.931 1
Be3 Be 0.766 0.633 0.069 1
Be4 Be 0.766 0.867 0.569 1
Tl1 Tl 0.172 0.706 0.873 1
Tl2 Tl 0.172 0.794 0.373 1
Tl3 Tl 0.828 0.206 0.627 1
Tl4 Tl 0.828 0.294 0.127 1
Co1 Co 0.500 0.000 0.000 1
Co2 Co 0.500 0.500 0.500 1
O1 O 0.197 0.044 0.982 1
O2 O 0.197 0.456 0.482 1
O3 O 0.317 0.608 0.349 1
O4 O 0.317 0.892 0.849 1
O5 O 0.411 0.601 0.631 1
O6 O 0.411 0.899 0.131 1
O7 O 0.589 0.101 0.869 1
O8 O 0.589 0.399 0.369 1
O9 O 0.683 0.108 0.151 1
O10 O 0.683 0.392 0.651 1
O11 O 0.803 0.544 0.518 1
O12 O 0.803 0.956 0.018 1
F1 F 0.066 0.244 0.351 1
F2 F 0.066 0.256 0.851 1
F3 F 0.165 0.127 0.588 1
F4 F 0.165 0.373 0.088 1
F5 F 0.181 0.004 0.335 1
F6 F 0.181 0.496 0.835 1
F7 F 0.499 0.657 0.050 1
F8 F 0.499 0.843 0.550 1
F9 F 0.501 0.157 0.450 1
F10 F 0.501 0.343 0.950 1
F11 F 0.819 0.504 0.165 1
F12 F 0.819 0.996 0.665 1
F13 F 0.835 0.627 0.912 1
F14 F 0.835 0.873 0.412 1
F15 F 0.934 0.744 0.149 1
F16 F 0.934 0.756 0.649 1
```

Peak list (10 most intense, 15 to 90 degrees two-theta, in order of rising 2θ)
2θ 17.5, 5.077 Å, intensity 33; 2θ 17.8, 4.972 Å, intensity 100; 2θ 21.4, 4.152 Å, intensity 80; 2θ 21.8, 4.070 Å, intensity 25; 2θ 22.4, 3.974 Å, intensity 77; 2θ 23.5, 3.792 Å, intensity 30; 2θ 28.1, 3.172 Å, intensity 40; 2θ 32.7, 2.736 Å, intensity 24; 2θ 39.3, 2.294 Å, intensity 23; 2θ 40.6, 2.223 Å, intensity 29

What is the formula in the fourth record?
Be2Tl2CoO6F8

Which formula does entry 1 have?
K2Be2CoO6F8

Number 3 is which compound?
Be2Tl2CoO6F8